[1]
# TaFeO4
Theoretical XRD peak list, Cu Kα (λ = 1.5418 Å). Input: a DFT-relaxed cell (GGA+U, the Materials Project).

Main lines, by angle (2θ from 10° to 80°):
2θ 19.9, I = 30, (1 1 0); 2θ 20.0, I = 46, (1 1 -1); 2θ 30.2, I = 98, (0 2 1); 2θ 31.7, I = 100, (2 2 -1); 2θ 35.0, I = 24, (0 4 0); 2θ 36.2, I = 19, (2 0 0); 2θ 36.4, I = 17, (2 0 -2); 2θ 51.2, I = 26, (2 4 0); 2θ 51.4, I = 26, (2 4 -2); 2θ 60.7, I = 17, (2 6 -1)

Atomic structure:
```
data_TaFeO4
_cell_length_a 6.767
_cell_length_b 10.253
_cell_length_c 4.943
_cell_angle_alpha 90.00
_cell_angle_beta 132.77
_cell_angle_gamma 90.00
_space_group_name_H-M_alt 'C 1 2/c 1'
_space_group_IT_number 15
loop_
_space_group_symop_operation_xyz
'x,y,z'
'-x,-y,-z'
'-x,y,-z+1/2'
'x,-y,z+1/2'
'x+1/2,y+1/2,z'
'-x+1/2,-y+1/2,-z'
'-x+1/2,y+1/2,-z+1/2'
'x+1/2,-y+1/2,z+1/2'
loop_
_atom_site_label
_atom_site_type_symbol
_atom_site_fract_x
_atom_site_fract_y
_atom_site_fract_z
Ta1 Ta 0.000 0.128 0.250
Fe1 Fe 0.000 0.394 0.750
O1 O 0.182 0.294 0.647
O2 O 0.219 0.041 0.752
```

=====

[2]
# TaFeO4
Theoretical XRD peak list, Cu Kα (λ = 1.5418 Å). Input: a DFT-relaxed cell (GGA+U, the Materials Project).

Main lines, by angle (2θ from 10° to 80°):
2θ 21.1, I = 36, (1 1 1); 2θ 26.5, I = 67, (0 2 0); 2θ 26.7, I = 65, (2 0 0); 2θ 27.0, I = 12, (1 1 2); 2θ 34.8, I = 100, (1 1 3); 2θ 38.0, I = 30, (2 2 0); 2θ 52.3, I = 43, (1 3 3); 2θ 52.6, I = 41, (3 1 3); 2θ 62.1, I = 11, (4 2 0); 2θ 66.5, I = 25, (3 3 3)

Atomic structure:
```
data_TaFeO4
_cell_length_a 6.672
_cell_length_b 6.735
_cell_length_c 9.233
_cell_angle_alpha 90.00
_cell_angle_beta 90.00
_cell_angle_gamma 90.00
_space_group_name_H-M_alt 'C m m 2'
_space_group_IT_number 35
loop_
_space_group_symop_operation_xyz
'x,y,z'
'-x,-y,z'
'-x,y,z'
'x,-y,z'
'x+1/2,y+1/2,z'
'-x+1/2,-y+1/2,z'
'-x+1/2,y+1/2,z'
'x+1/2,-y+1/2,z'
loop_
_atom_site_label
_atom_site_type_symbol
_atom_site_fract_x
_atom_site_fract_y
_atom_site_fract_z
Ta1 Ta 0.000 0.000 0.000
Ta2 Ta 0.000 0.000 0.341
Ta3 Ta 0.000 0.500 0.521
Fe1 Fe 0.000 0.000 0.678
Fe2 Fe 0.000 0.500 0.175
Fe3 Fe 0.000 0.500 0.851
O1 O 0.000 0.193 0.181
O2 O 0.000 0.197 0.848
O3 O 0.000 0.199 0.507
O4 O 0.197 0.500 0.673
O5 O 0.198 0.500 0.349
O6 O 0.201 0.500 0.014
```

=====

[3]
# TaFeO4
Theoretical XRD peak list, Cu Kα (λ = 1.5418 Å). Input: a DFT-relaxed cell (GGA+U, the Materials Project).

Main lines, by angle (2θ from 10° to 80°):
2θ 15.0, I = 11, (0 2 0); 2θ 23.4, I = 25, (0 2 1); 2θ 27.6, I = 100, (1 1 1); 2θ 29.9, I = 45, (1 3 0); 2θ 35.3, I = 29, (0 4 1); 2θ 36.3, I = 15, (0 0 2); 2θ 47.7, I = 26, (1 3 2); 2θ 54.0, I = 29, (2 4 1); 2θ 54.7, I = 16, (2 0 2); 2θ 61.4, I = 11, (1 7 1)

Atomic structure:
```
data_TaFeO4
_cell_length_a 4.562
_cell_length_b 11.837
_cell_length_c 4.949
_cell_angle_alpha 90.00
_cell_angle_beta 90.00
_cell_angle_gamma 90.00
_space_group_name_H-M_alt 'P b c n'
_space_group_IT_number 60
loop_
_space_group_symop_operation_xyz
'x,y,z'
'-x,-y,-z'
'-x+1/2,-y+1/2,z+1/2'
'x+1/2,y+1/2,-z+1/2'
'x+1/2,-y+1/2,-z'
'-x+1/2,y+1/2,z'
'-x,y,-z+1/2'
'x,-y,z+1/2'
loop_
_atom_site_label
_atom_site_type_symbol
_atom_site_fract_x
_atom_site_fract_y
_atom_site_fract_z
Ta1 Ta 0.000 0.172 0.250
Fe1 Fe 0.000 0.433 0.250
O1 O 0.230 0.308 0.072
O2 O 0.245 0.438 0.585
```